Entry 1:
This entry pairs a crystal structure of DyHo2Tm7 with its theoretical X-ray diffraction stick pattern. Radiation: CuKα. Structure: a DFT-relaxed cell (PBE, Alexandria).
Peak positions follow from Bragg's law for the DFT cell and can differ from measured ones.

a = 6.044 Å, b = 6.996 Å, c = 7.803 Å
α = 77.16°, β = 74.98°, γ = 73.32°
Space group P-1 (No. 2)
Symmetry-distinct sites (fractional):
Dy 0.000 0.000 0.000
Ho 0.200 0.300 0.600
Tm 0.000 0.500 0.000
Tm 0.200 0.800 0.600
Tm 0.400 0.100 0.200
Tm 0.400 0.600 0.200

Main lines, by angle (2θ from 10° to 90°):
- 31.4°, rel. 100
- 31.4°, rel. 33
- 36.4°, rel. 67
- 52.3°, rel. 24
- 52.4°, rel. 24
- 62.3°, rel. 28
- 62.4°, rel. 19
- 65.5°, rel. 12
- 85.8°, rel. 14
- 88.6°, rel. 11

---

Entry 2:
This entry pairs a crystal structure of La2YIr2I2 with its theoretical X-ray diffraction stick pattern. Radiation: CuKα. Structure: a DFT-relaxed cell (PBE, Alexandria).
Peak positions follow from Bragg's law for the DFT cell and can differ from measured ones.

a = 5.207 Å, b = 5.207 Å, c = 16.767 Å
α = 90.00°, β = 90.00°, γ = 90.00°
Space group I4/mmm (No. 139)
Symmetry-distinct sites (fractional):
La 0.000 0.000 0.103
Y 0.000 0.000 0.500
Ir 0.000 0.500 0.000
I 0.000 0.000 0.309

Main lines, by angle (2θ from 10° to 90°):
- 10.6°, rel. 100
- 26.4°, rel. 62
- 31.7°, rel. 91
- 32.4°, rel. 58
- 34.5°, rel. 98
- 36.1°, rel. 22
- 47.5°, rel. 58
- 49.5°, rel. 35
- 60.4°, rel. 20
- 66.3°, rel. 27

---

Entry 3:
This entry pairs a crystal structure of La3Tb2Er with its theoretical X-ray diffraction stick pattern. Radiation: CuKα. Structure: a DFT-relaxed cell (PBE, Alexandria).
Peak positions follow from Bragg's law for the DFT cell and can differ from measured ones.

a = 5.240 Å, b = 15.660 Å, c = 4.998 Å
α = 90.00°, β = 90.00°, γ = 90.00°
Space group Cmmm (No. 65)
Symmetry-distinct sites (fractional):
La 0.000 0.000 0.000
La 0.000 0.334 0.000
Tb 0.000 0.166 0.500
Er 0.000 0.500 0.500

Main lines, by angle (2θ from 10° to 90°):
- 30.1°, rel. 100
- 34.2°, rel. 18
- 34.4°, rel. 18
- 35.9°, rel. 16
- 49.3°, rel. 13
- 50.5°, rel. 24
- 58.7°, rel. 15
- 58.9°, rel. 15
- 61.0°, rel. 13
- 62.5°, rel. 12

---

Entry 4:
This entry pairs a crystal structure of Pm8Ga2Pt with its theoretical X-ray diffraction stick pattern. Radiation: CuKα. Structure: a DFT-relaxed cell (PBE, Alexandria).
Peak positions follow from Bragg's law for the DFT cell and can differ from measured ones.

a = 4.951 Å, b = 8.650 Å, c = 14.494 Å
α = 90.00°, β = 90.00°, γ = 90.00°
Space group Immm (No. 71)
Symmetry-distinct sites (fractional):
Pm 0.000 0.000 0.126
Pm 0.000 0.220 0.340
Pm 0.000 0.326 0.000
Ga 0.000 0.500 0.195
Pt 0.000 0.500 0.500

Main lines, by angle (2θ from 10° to 90°):
- 24.1°, rel. 10
- 31.6°, rel. 24
- 32.3°, rel. 36
- 33.2°, rel. 100
- 36.3°, rel. 29
- 37.2°, rel. 15
- 48.9°, rel. 14
- 53.0°, rel. 11
- 62.4°, rel. 11
- 63.3°, rel. 15